Entry 1:
SrPuO4: theoretical X-ray powder pattern (copper Kα), based on a cell relaxed with GGA-PBE.
Kinematic intensities with the Lorentz-polarization factor, no thermal factor.

Atomic structure:
a = 3.9511 Å, b = 3.9511 Å, c = 18.4751 Å
α = 90.00°, β = 90.00°, γ = 120.00°
Space group R-3m (No. 166, hexagonal axes)
One atom of each set of equivalent atoms:
Sr: 0.0000 0.0000 0.0000 (multiplicity 3)
Pu: 0.0000 0.0000 0.5000 (multiplicity 3)
O: 0.0000 0.0000 0.1403 (multiplicity 6)
O: 0.0000 0.0000 0.3936 (multiplicity 6)

Peak list (6 most intense, 5 to 70 degrees two-theta, in order of rising 2θ)
2θ 14.38, I = 37, hkl 0 0 3
2θ 27.80, I = 100, hkl 0 1 2
2θ 32.57, I = 43, hkl 1 0 4
2θ 45.94, I = 36, hkl 1 1 0
2θ 47.50, I = 29, hkl 0 1 8
2θ 55.24, I = 30, hkl 1 1 6


Entry 2:
Pu2TeO2: theoretical X-ray powder pattern (copper Kα), based on a cell relaxed with GGA-PBE.
Kinematic intensities with the Lorentz-polarization factor, no thermal factor.

Atomic structure:
a = 3.985 Å, b = 3.985 Å, c = 12.546 Å
α = 90.00°, β = 90.00°, γ = 90.00°
Space group I4/mmm (No. 139)
One atom of each set of equivalent atoms:
Pu: 0.000 0.000 0.158 (multiplicity 4)
Te: 0.000 0.000 0.500 (multiplicity 2)
O: 0.000 0.500 0.250 (multiplicity 4)

Peak list (6 most intense, 5 to 70 degrees two-theta, in order of rising 2θ)
2θ 31.00, I = 100, hkl 1 0 3
2θ 31.76, I = 43, hkl 1 1 0
2θ 45.53, I = 20, hkl 2 0 0
2θ 54.65, I = 23, hkl 1 1 6
2θ 56.10, I = 39, hkl 2 1 3
2θ 64.62, I = 11, hkl 2 0 6


Entry 3:
PuTlO3: theoretical X-ray powder pattern (copper Kα), based on a cell relaxed with GGA-PBE.
Kinematic intensities with the Lorentz-polarization factor, no thermal factor.

Atomic structure:
a = 6.132 Å, b = 8.657 Å, c = 6.131 Å
α = 90.00°, β = 90.00°, γ = 90.00°
Space group Pnma (No. 62)
One atom of each set of equivalent atoms:
Pu: 0.000 0.000 0.000 (multiplicity 4)
Tl: 0.000 0.250 0.500 (multiplicity 4)
O: 0.000 0.250 0.002 (multiplicity 4)
O: 0.235 0.001 0.764 (multiplicity 8)

Peak list (6 most intense, 5 to 70 degrees two-theta, in order of rising 2θ)
2θ 29.14, I = 100, hkl 2 0 0
2θ 41.69, I = 26, hkl 0 4 0
2θ 51.67, I = 43, hkl 2 4 0
2θ 60.42, I = 17, hkl 2 4 2
2θ 68.44, I = 13, hkl 4 0 2
2θ 68.54, I = 6, hkl 1 6 1


Entry 4:
RbO: theoretical X-ray powder pattern (copper Kα), based on a cell relaxed with GGA-PBE.
Kinematic intensities with the Lorentz-polarization factor, no thermal factor.

Atomic structure:
a = 5.791 Å, b = 5.791 Å, c = 5.791 Å
α = 90.00°, β = 90.00°, γ = 90.00°
Space group Fm-3m (No. 225)
One atom of each set of equivalent atoms:
Rb: 0.000 0.000 0.000 (multiplicity 4)
O: 0.000 0.000 0.500 (multiplicity 4)

Peak list (6 most intense, 5 to 70 degrees two-theta, in order of rising 2θ)
2θ 26.66, I = 86, hkl 1 1 1
2θ 30.88, I = 100, hkl 2 0 0
2θ 44.24, I = 70, hkl 2 2 0
2θ 52.40, I = 42, hkl 3 1 1
2θ 54.92, I = 24, hkl 2 2 2
2θ 64.35, I = 11, hkl 4 0 0


Entry 5:
Rb2O3: theoretical X-ray powder pattern (copper Kα), based on a cell relaxed with GGA-PBE.
Kinematic intensities with the Lorentz-polarization factor, no thermal factor.

Atomic structure:
a = 9.383 Å, b = 9.383 Å, c = 9.383 Å
α = 90.00°, β = 90.00°, γ = 90.00°
Space group I-43d (No. 220)
One atom of each set of equivalent atoms:
Rb: 0.051 0.449 0.551 (multiplicity 16)
O: 0.000 0.250 0.800 (multiplicity 24)

Peak list (6 most intense, 5 to 70 degrees two-theta, in order of rising 2θ)
2θ 26.87, I = 64, hkl 2 2 0
2θ 30.12, I = 100, hkl 3 1 0
2θ 35.81, I = 57, hkl 3 2 1
2θ 45.33, I = 24, hkl 3 3 2
2θ 49.53, I = 57, hkl 4 3 1
2θ 53.49, I = 17, hkl 5 2 1


Entry 6:
Rb2O3: theoretical X-ray powder pattern (copper Kα), based on a cell relaxed with GGA-PBE.
Kinematic intensities with the Lorentz-polarization factor, no thermal factor.

Atomic structure:
a = 8.970 Å, b = 8.970 Å, c = 10.383 Å
α = 90.00°, β = 90.00°, γ = 90.00°
Space group I-42d (No. 122)
One atom of each set of equivalent atoms:
Rb: 0.048 0.696 0.451 (multiplicity 16)
O: 0.000 0.000 0.430 (multiplicity 8)
O: 0.127 0.725 0.188 (multiplicity 16)

Peak list (6 most intense, 5 to 70 degrees two-theta, in order of rising 2θ)
2θ 26.26, I = 54, hkl 2 0 2
2θ 27.62, I = 85, hkl 1 0 3
2θ 28.14, I = 42, hkl 2 2 0
2θ 31.13, I = 100, hkl 3 0 1
2θ 31.54, I = 72, hkl 3 1 0
2θ 34.22, I = 78, hkl 2 1 3


Entry 7:
Rb9O2: theoretical X-ray powder pattern (copper Kα), based on a cell relaxed with GGA-PBE.
Kinematic intensities with the Lorentz-polarization factor, no thermal factor.

Atomic structure:
a = 8.435 Å, b = 14.087 Å, c = 11.741 Å
α = 90.00°, β = 104.47°, γ = 90.00°
Space group P2_1/m (No. 11)
One atom of each set of equivalent atoms:
Rb: 0.029 0.250 0.394 (multiplicity 2)
Rb: 0.060 0.622 0.316 (multiplicity 4)
Rb: 0.147 0.250 0.997 (multiplicity 2)
Rb: 0.277 0.609 0.042 (multiplicity 4)
Rb: 0.389 0.609 0.637 (multiplicity 4)
Rb: 0.437 0.750 0.347 (multiplicity 2)
O: 0.156 0.750 0.157 (multiplicity 2)
O: 0.220 0.750 0.497 (multiplicity 2)

Peak list (6 most intense, 5 to 70 degrees two-theta, in order of rising 2θ)
2θ 12.54, I = 89, hkl 0 2 0
2θ 21.83, I = 39, hkl 1 3 0
2θ 23.46, I = 100, hkl 0 0 3
2θ 24.12, I = 71, hkl 1 3 1
2θ 24.94, I = 40, hkl 2 0 1
2θ 25.27, I = 86, hkl 1 3 -2


Entry 8:
RbO: theoretical X-ray powder pattern (copper Kα), based on a cell relaxed with GGA-PBE.
Kinematic intensities with the Lorentz-polarization factor, no thermal factor.

Atomic structure:
a = 4.268 Å, b = 6.068 Å, c = 7.196 Å
α = 90.00°, β = 90.00°, γ = 90.00°
Space group Immm (No. 71)
One atom of each set of equivalent atoms:
Rb: 0.000 0.000 0.241 (multiplicity 4)
O: 0.000 0.374 0.500 (multiplicity 4)

Peak list (6 most intense, 5 to 70 degrees two-theta, in order of rising 2θ)
2θ 24.75, I = 32, hkl 0 0 2
2θ 25.52, I = 71, hkl 1 1 0
2θ 29.44, I = 33, hkl 0 2 0
2θ 35.84, I = 100, hkl 1 1 2
2θ 38.83, I = 31, hkl 0 2 2
2θ 49.89, I = 19, hkl 1 3 0


Entry 9:
Rb16O3: theoretical X-ray powder pattern (copper Kα), based on a cell relaxed with GGA-PBE.
Kinematic intensities with the Lorentz-polarization factor, no thermal factor.

Atomic structure:
a = 19.666 Å, b = 22.738 Å, c = 23.804 Å
α = 90.00°, β = 90.00°, γ = 90.00°
Space group F222 (No. 22)
One atom of each set of equivalent atoms:
Rb: 0.000 0.000 0.000 (multiplicity 4)
Rb: 0.000 0.000 0.500 (multiplicity 4)
Rb: 0.001 0.191 0.345 (multiplicity 16)
Rb: 0.005 0.150 0.193 (multiplicity 16)
Rb: 0.127 0.004 0.689 (multiplicity 16)
Rb: 0.135 0.192 0.986 (multiplicity 16)
Rb: 0.183 0.002 0.858 (multiplicity 16)
Rb: 0.185 0.144 0.508 (multiplicity 16)
Rb: 0.250 0.115 0.250 (multiplicity 8)
Rb: 0.250 0.131 0.750 (multiplicity 8)
Rb: 0.250 0.250 0.120 (multiplicity 8)
O: 0.001 0.250 0.750 (multiplicity 8)
O: 0.250 0.007 0.750 (multiplicity 8)
O: 0.250 0.250 0.010 (multiplicity 8)

Peak list (6 most intense, 5 to 70 degrees two-theta, in order of rising 2θ)
2θ 14.04, I = 65, hkl 2 2 2
2θ 21.06, I = 45, hkl 4 2 2
2θ 23.46, I = 100, hkl 0 6 0
2θ 24.13, I = 31, hkl 3 5 1
2θ 25.10, I = 40, hkl 4 4 2
2θ 36.19, I = 44, hkl 6 6 0


Entry 10:
RbO: theoretical X-ray powder pattern (copper Kα), based on a cell relaxed with GGA-PBE.
Kinematic intensities with the Lorentz-polarization factor, no thermal factor.

Atomic structure:
a = 4.058 Å, b = 4.328 Å, c = 5.896 Å
α = 90.00°, β = 96.51°, γ = 90.00°
Space group P2_1/m (No. 11)
One atom of each set of equivalent atoms:
Rb: 0.236 0.250 0.251 (multiplicity 2)
O: 0.268 0.250 0.753 (multiplicity 2)

Peak list (6 most intense, 5 to 70 degrees two-theta, in order of rising 2θ)
2θ 25.36, I = 35, hkl 1 0 -1
2θ 25.59, I = 69, hkl 0 1 1
2θ 30.30, I = 100, hkl 1 1 0
2θ 30.52, I = 49, hkl 0 0 2
2θ 41.61, I = 40, hkl 1 1 -2
2θ 45.41, I = 31, hkl 1 1 2


Entry 11:
RbO: theoretical X-ray powder pattern (copper Kα), based on a cell relaxed with GGA-PBE.
Kinematic intensities with the Lorentz-polarization factor, no thermal factor.

Atomic structure:
a = 3.938 Å, b = 10.535 Å, c = 4.256 Å
α = 90.00°, β = 90.00°, γ = 90.00°
Space group Cmcm (No. 63)
One atom of each set of equivalent atoms:
Rb: 0.000 0.126 0.250 (multiplicity 4)
O: 0.000 0.419 0.250 (multiplicity 4)

Peak list (6 most intense, 5 to 70 degrees two-theta, in order of rising 2θ)
2θ 24.12, I = 44, hkl 1 1 0
2θ 26.93, I = 83, hkl 0 2 1
2θ 32.11, I = 100, hkl 1 1 1
2θ 34.04, I = 39, hkl 0 4 0
2θ 34.21, I = 34, hkl 1 3 0
2θ 40.41, I = 62, hkl 1 3 1


Entry 12:
RbRuO3: theoretical X-ray powder pattern (copper Kα), based on a cell relaxed with GGA-PBE.
Kinematic intensities with the Lorentz-polarization factor, no thermal factor.

Atomic structure:
a = 3.979 Å, b = 3.979 Å, c = 3.979 Å
α = 90.00°, β = 90.00°, γ = 90.00°
Space group Pm-3m (No. 221)
One atom of each set of equivalent atoms:
Rb: 0.000 0.000 0.000 (multiplicity 1)
Ru: 0.500 0.500 0.500 (multiplicity 1)
O: 0.000 0.500 0.500 (multiplicity 3)

Peak list (6 most intense, 5 to 70 degrees two-theta, in order of rising 2θ)
2θ 22.35, I = 5, hkl 1 0 0
2θ 31.81, I = 100, hkl 1 1 0
2θ 45.60, I = 33, hkl 2 0 0
2θ 51.35, I = 2, hkl 2 1 0
2θ 56.67, I = 39, hkl 2 1 1
2θ 66.47, I = 20, hkl 2 2 0